[1]
Starting from a PBE-relaxed structure, the XRD peak list of NpNb2N4 was simulated for Cu Kα X-rays.
Intensities are scaled so that the largest is 100.

Structure:
Cell lengths 3.152, 10.300, 10.324 Å; angles 90.00, 90.00, 90.00 degrees
Space group Cmcm (No. 63)
Unique sites:
Np  0.000  0.112  0.250 [4 per cell]
Nb  0.000  0.371  0.064 [8 per cell]
N  0.000  0.000  0.000 [4 per cell]
N  0.000  0.267  0.619 [8 per cell]
N  0.000  0.449  0.250 [4 per cell]

Top 6 peaks for 2θ from 5° to 70°, low angle first:
| h k l | 2θ (°) | I/Imax |
| --- | --- | --- |
| 0 2 1 | 19.26 | 44 |
| 1 1 1 | 30.91 | 48 |
| 0 2 3 | 31.26 | 100 |
| 1 1 2 | 34.46 | 58 |
| 0 4 0 | 34.82 | 45 |
| 1 3 1 | 39.79 | 52 |

---

[2]
Starting from a PBE-relaxed structure, the XRD peak list of NbN3O8 was simulated for Cu Kα X-rays.
Intensities are scaled so that the largest is 100.

Structure:
Cell lengths 7.715, 7.715, 8.268 Å; angles 90.00, 90.00, 90.00 degrees
Space group I-42m (No. 121)
Unique sites:
Nb  0.000  0.000  0.000 [2 per cell]
N  0.000  0.000  0.500 [2 per cell]
N  0.000  0.500  0.250 [4 per cell]
O  0.145  0.145  0.161 [8 per cell]
O  0.191  0.191  0.006 [8 per cell]

Top 6 peaks for 2θ from 5° to 70°, low angle first:
| h k l | 2θ (°) | I/Imax |
| --- | --- | --- |
| 1 0 1 | 15.71 | 100 |
| 1 1 0 | 16.25 | 37 |
| 1 1 2 | 27.06 | 33 |
| 2 1 1 | 28.02 | 16 |
| 2 2 0 | 32.83 | 15 |
| 3 2 1 | 43.70 | 15 |

---

[3]
Starting from a PBE-relaxed structure, the XRD peak list of Nb5N2O2 was simulated for Cu Kα X-rays.
Intensities are scaled so that the largest is 100.

Structure:
Cell lengths 9.976, 4.367, 6.848 Å; angles 90.00, 132.82, 90.00 degrees
Space group Cm (No. 8)
Unique sites:
Nb  0.000  0.000  0.000 [2 per cell]
Nb  0.046  0.500  0.315 [2 per cell]
Nb  0.181  0.000  0.691 [2 per cell]
Nb  0.276  0.500  0.162 [2 per cell]
Nb  0.359  0.000  0.520 [2 per cell]
N  0.263  0.000  0.103 [2 per cell]
N  0.476  0.000  0.931 [2 per cell]
O  0.182  0.500  0.752 [2 per cell]
O  0.419  0.500  0.590 [2 per cell]

Top 6 peaks for 2θ from 5° to 70°, low angle first:
| h k l | 2θ (°) | I/Imax |
| --- | --- | --- |
| 1 1 1 | 34.47 | 100 |
| 3 1 -2 | 35.59 | 87 |
| 4 0 -1 | 39.33 | 55 |
| 0 2 0 | 41.34 | 93 |
| 4 2 -1 | 58.38 | 32 |
| 2 2 -3 | 59.88 | 34 |